# Ac4PrNd3
Simulated powder X-ray diffraction pattern, Cu Kα. Input: a cell relaxed with PBE.

Main lines, most intense first (2θ from 15° to 90°):
- d = 3.134 Å, I = 100
- d = 2.699 Å, I = 34
- d = 1.630 Å, I = 30
- d = 1.925 Å, I = 26
- d = 2.745 Å, I = 18
- d = 1.650 Å, I = 16
- d = 1.567 Å, I = 13
- d = 1.248 Å, I = 13

Cell and atoms:
a b c (Å): 10.980 7.635 7.636
angles (deg): 90.00 90.00 90.00
Element x y z (fractional)
Ac1 0.000 0.001 0.000
Ac2 0.000 0.499 0.498
Ac3 0.249 0.750 0.749
Ac4 0.251 0.250 0.249
Ac5 0.500 0.501 0.998
Ac6 0.500 0.999 0.500
Ac7 0.749 0.250 0.249
Ac8 0.751 0.750 0.749
Pr1 0.000 0.499 0.000
Pr2 0.500 0.501 0.500
Nd1 0.000 0.000 0.499
Nd2 0.250 0.249 0.749
Nd3 0.250 0.751 0.249
Nd4 0.500 0.000 0.999
Nd5 0.750 0.249 0.749
Nd6 0.750 0.751 0.249

# RbInPb4
Simulated powder X-ray diffraction pattern, Cu Kα. Input: a cell relaxed with PBE.

Main lines, most intense first (2θ from 15° to 90°):
- d = 3.185 Å, I = 100
- d = 2.493 Å, I = 50
- d = 2.590 Å, I = 46
- d = 3.086 Å, I = 42
- d = 2.899 Å, I = 41
- d = 2.446 Å, I = 32
- d = 1.796 Å, I = 32
- d = 2.438 Å, I = 26

Cell and atoms:
a b c (Å): 10.133 10.133 8.470
angles (deg): 90.00 90.00 151.52
Element x y z (fractional)
Rb1 0.120 0.880 0.750
Rb2 0.880 0.120 0.250
In1 0.230 0.770 0.250
In2 0.770 0.230 0.750
Pb1 0.067 0.933 0.250
Pb2 0.326 0.674 0.553
Pb3 0.326 0.674 0.947
Pb4 0.500 0.500 0.000
Pb5 0.500 0.500 0.500
Pb6 0.674 0.326 0.053
Pb7 0.674 0.326 0.447
Pb8 0.933 0.067 0.750

# KCoBiBr6
Simulated powder X-ray diffraction pattern, Cu Kα. Input: a cell relaxed with PBE.

Main lines, most intense first (2θ from 15° to 90°):
- d = 3.215 Å, I = 100
- d = 2.554 Å, I = 85
- d = 4.723 Å, I = 72
- d = 2.066 Å, I = 26
- d = 2.012 Å, I = 24
- d = 2.236 Å, I = 17
- d = 2.231 Å, I = 15
- d = 2.074 Å, I = 14

Cell and atoms:
a b c (Å): 7.175 7.175 7.280
angles (deg): 90.14 90.14 120.25
Element x y z (fractional)
K1 0.000 0.000 0.000
Co1 0.333 0.667 0.500
Bi1 0.667 0.333 0.500
Br1 0.030 0.385 0.714
Br2 0.030 0.645 0.287
Br3 0.355 0.970 0.713
Br4 0.360 0.388 0.284
Br5 0.612 0.640 0.716
Br6 0.615 0.970 0.286

# Ho5ThP6
Simulated powder X-ray diffraction pattern, Cu Kα. Input: a cell relaxed with PBE.

Main lines, most intense first (2θ from 15° to 90°):
- d = 2.840 Å, I = 100
- d = 3.279 Å, I = 92
- d = 2.008 Å, I = 74
- d = 1.270 Å, I = 33
- d = 1.712 Å, I = 27
- d = 1.640 Å, I = 26
- d = 1.159 Å, I = 25
- d = 1.713 Å, I = 19

Cell and atoms:
a b c (Å): 6.954 6.954 6.960
angles (deg): 99.59 99.59 119.99
Element x y z (fractional)
Ho1 0.000 0.000 0.000
Ho2 0.167 0.833 0.500
Ho3 0.334 0.666 0.000
Ho4 0.666 0.334 0.000
Ho5 0.833 0.167 0.500
Th1 0.500 0.500 0.500
P1 0.079 0.416 0.247
P2 0.247 0.247 0.752
P3 0.416 0.079 0.247
P4 0.584 0.921 0.753
P5 0.753 0.753 0.248
P6 0.921 0.584 0.753

# Pm5NdTm12
Simulated powder X-ray diffraction pattern, Cu Kα. Input: a cell relaxed with PBE.

Main lines, most intense first (2θ from 15° to 90°):
- d = 2.504 Å, I = 100
- d = 2.896 Å, I = 99
- d = 2.886 Å, I = 98
- d = 1.769 Å, I = 59
- d = 1.508 Å, I = 56
- d = 1.513 Å, I = 28
- d = 1.147 Å, I = 18
- d = 1.118 Å, I = 16

Cell and atoms:
a b c (Å): 10.616 10.616 6.134
angles (deg): 106.57 106.57 59.93
Element x y z (fractional)
Pm1 0.000 0.000 0.000
Pm2 0.167 0.167 0.500
Pm3 0.333 0.333 0.000
Pm4 0.667 0.667 0.000
Pm5 0.833 0.833 0.500
Nd1 0.500 0.500 0.500
Tm1 0.001 0.665 0.000
Tm2 0.165 0.502 0.500
Tm3 0.168 0.832 0.500
Tm4 0.332 0.668 0.000
Tm5 0.335 0.999 0.000
Tm6 0.498 0.835 0.500
Tm7 0.502 0.165 0.500
Tm8 0.665 0.001 0.000
Tm9 0.668 0.332 0.000
Tm10 0.832 0.168 0.500
Tm11 0.835 0.498 0.500
Tm12 0.999 0.335 0.000

# SrLaTa2
Simulated powder X-ray diffraction pattern, Cu Kα. Input: a cell relaxed with PBE.

Main lines, most intense first (2θ from 15° to 90°):
- d = 2.570 Å, I = 100
- d = 2.844 Å, I = 83
- d = 2.332 Å, I = 65
- d = 2.474 Å, I = 38
- d = 1.962 Å, I = 33
- d = 3.036 Å, I = 29
- d = 2.833 Å, I = 28
- d = 1.822 Å, I = 23

Cell and atoms:
a b c (Å): 3.625 3.645 9.109
angles (deg): 90.00 90.13 90.00
Element x y z (fractional)
Sr1 0.000 0.000 0.000
La1 0.493 0.500 0.390
Ta1 0.499 0.500 0.739
Ta2 0.998 0.000 0.623

# AcHoH
Simulated powder X-ray diffraction pattern, Cu Kα. Input: a cell relaxed with PBE.

Main lines, most intense first (2θ from 15° to 90°):
- d = 2.882 Å, I = 100
- d = 3.026 Å, I = 25
- d = 3.277 Å, I = 24
- d = 1.604 Å, I = 24
- d = 1.718 Å, I = 22
- d = 1.892 Å, I = 20
- d = 2.223 Å, I = 18
- d = 1.582 Å, I = 17

Cell and atoms:
a b c (Å): 3.784 3.784 6.053
angles (deg): 90.00 90.00 120.00
Element x y z (fractional)
Ac1 0.000 0.000 0.000
Ho1 0.667 0.333 0.515
H1 0.333 0.667 0.710

# MgFeHg2
Simulated powder X-ray diffraction pattern, Cu Kα. Input: a cell relaxed with PBE.

Main lines, most intense first (2θ from 15° to 90°):
- d = 2.438 Å, I = 100
- d = 2.278 Å, I = 94
- d = 2.403 Å, I = 86
- d = 3.177 Å, I = 71
- d = 2.905 Å, I = 50
- d = 1.428 Å, I = 34
- d = 1.350 Å, I = 28
- d = 1.600 Å, I = 27

Cell and atoms:
a b c (Å): 3.265 3.665 6.364
angles (deg): 90.00 90.00 90.00
Element x y z (fractional)
Mg1 0.000 0.000 0.000
Fe1 0.500 0.500 0.228
Hg1 0.000 0.000 0.445
Hg2 0.500 0.500 0.752

# HoPuGa4
Simulated powder X-ray diffraction pattern, Cu Kα. Input: a cell relaxed with PBE.

Main lines, most intense first (2θ from 15° to 90°):
- d = 2.632 Å, I = 100
- d = 2.215 Å, I = 50
- d = 3.836 Å, I = 27
- d = 1.695 Å, I = 27
- d = 1.346 Å, I = 25
- d = 1.401 Å, I = 23
- d = 1.809 Å, I = 9
- d = 1.279 Å, I = 8

Cell and atoms:
a b c (Å): 4.427 7.234 7.678
angles (deg): 90.00 90.00 90.00
Element x y z (fractional)
Ho1 0.000 0.000 0.000
Ho2 0.500 0.500 0.500
Pu1 0.000 0.500 0.000
Pu2 0.500 0.000 0.500
Ga1 0.000 0.253 0.333
Ga2 0.000 0.253 0.667
Ga3 0.000 0.747 0.333
Ga4 0.000 0.747 0.667
Ga5 0.500 0.247 0.167
Ga6 0.500 0.247 0.833
Ga7 0.500 0.753 0.167
Ga8 0.500 0.753 0.833

# Na2AcRu3O8
Simulated powder X-ray diffraction pattern, Cu Kα. Input: a cell relaxed with PBE.

Main lines, most intense first (2θ from 15° to 90°):
- d = 2.775 Å, I = 100
- d = 2.769 Å, I = 71
- d = 3.255 Å, I = 67
- d = 5.319 Å, I = 65
- d = 4.599 Å, I = 46
- d = 1.771 Å, I = 45
- d = 1.623 Å, I = 29
- d = 2.652 Å, I = 26

Cell and atoms:
a b c (Å): 6.515 6.515 6.515
angles (deg): 59.77 59.77 59.77
Element x y z (fractional)
Na1 0.000 0.000 0.000
Na2 0.371 0.371 0.371
Ac1 0.763 0.763 0.763
Ru1 0.377 0.377 0.880
Ru2 0.377 0.880 0.377
Ru3 0.880 0.377 0.377
O1 0.111 0.111 0.570
O2 0.111 0.570 0.111
O3 0.148 0.148 0.148
O4 0.198 0.616 0.616
O5 0.570 0.111 0.111
O6 0.609 0.609 0.609
O7 0.616 0.198 0.616
O8 0.616 0.616 0.198

# Tl2GeHO4
Simulated powder X-ray diffraction pattern, Cu Kα. Input: a cell relaxed with PBE.

Main lines, most intense first (2θ from 15° to 90°):
- d = 4.034 Å, I = 100
- d = 3.113 Å, I = 96
- d = 2.875 Å, I = 81
- d = 4.344 Å, I = 77
- d = 3.126 Å, I = 71
- d = 2.816 Å, I = 60
- d = 1.889 Å, I = 53
- d = 2.381 Å, I = 51

Cell and atoms:
a b c (Å): 4.783 5.268 6.373
angles (deg): 114.34 92.11 111.49
Element x y z (fractional)
Tl1 0.000 0.000 0.000
Tl2 0.209 0.356 0.681
Ge1 0.494 0.820 0.348
H1 0.904 0.623 0.351
O1 0.211 0.513 0.379
O2 0.414 0.829 0.076
O3 0.621 0.191 0.597
O4 0.853 0.775 0.322

# SrS5Br
Simulated powder X-ray diffraction pattern, Cu Kα. Input: a cell relaxed with PBE.

Main lines, most intense first (2θ from 15° to 90°):
- d = 4.052 Å, I = 100
- d = 2.948 Å, I = 83
- d = 3.168 Å, I = 62
- d = 5.321 Å, I = 56
- d = 2.789 Å, I = 39
- d = 2.542 Å, I = 27
- d = 3.574 Å, I = 25
- d = 3.104 Å, I = 23

Cell and atoms:
a b c (Å): 5.593 17.708 4.547
angles (deg): 90.00 94.11 90.00
Element x y z (fractional)
Sr1 0.000 0.000 0.000
Sr2 0.500 0.500 0.000
S1 0.000 0.744 0.000
S2 0.015 0.466 0.283
S3 0.128 0.815 0.341
S4 0.372 0.315 0.659
S5 0.485 0.966 0.717
S6 0.500 0.244 0.000
S7 0.515 0.966 0.283
S8 0.628 0.315 0.341
S9 0.872 0.815 0.659
S10 0.985 0.466 0.717
Br1 0.000 0.108 0.500
Br2 0.500 0.608 0.500